The following is a calculated X-ray diffraction stick pattern of Li2CeMnF8. It was derived from the PBE+U geometry in Alexandria, using Cu Kα, 1.54184 Å.

Largest 10 diffraction maxima, by angle, 10 to 80 degrees two-theta:
2θ (°)	Rel. int.	index
12.99	122	0 0 1
21.00	1000	1 0 0
26.14	117	0 0 2
33.77	485	1 0 2
36.80	242	1 1 0
39.18	306	1 1 1
45.70	499	2 -1 2
50.80	206	2 0 2
64.36	185	3 -1 2
66.95	136	1 1 4

Structural model:
```
12
Lattice="4.8843 0.0000 0.0000 -2.4422 4.2299 0.0000 0.0000 0.0000 6.8174" Properties=species:S:1:pos:R:3 pbc="T T T"
Li 0.0000 2.8200 1.4498
Li 2.4422 1.4100 5.3677
Ce 0.0000 0.0000 3.4087
Mn 0.0000 0.0000 0.0000
F -1.6325 3.0353 5.5820
F 0.6298 1.2985 5.5820
F 1.4394 0.1039 1.2354
F 0.0000 2.8200 3.2822
F 2.4422 1.4100 3.5352
F 1.0027 4.1261 5.5820
F 1.8124 2.9314 1.2354
F 4.0747 1.1947 1.2354
```